Starting from a PBE+U-relaxed structure, the powder X-ray diffraction pattern of TaCoI2O was computed for Cu Kα (λ = 1.5418 Å).
Intensities are scaled so that the largest is 100.

Atomic structure:
Cell lengths 5.754, 5.754, 3.883 Å; angles 90.00, 90.00, 90.00 degrees
Space group P4/mmm (No. 123)
Symmetry-distinct sites (fractional):
Ta 0.000 0.000 0.000 (multiplicity 1)
Co 0.500 0.500 0.500 (multiplicity 1)
I 0.000 0.500 0.000 (multiplicity 2)
O 0.000 0.000 0.500 (multiplicity 1)

Most intense lines, 15° ≤ 2θ ≤ 90°, in order of rising 2θ:
2θ = 15.40°, I = 36
2θ = 22.91°, I = 51
2θ = 27.72°, I = 52
2θ = 31.08°, I = 100
2θ = 38.96°, I = 51
2θ = 42.13°, I = 34
2θ = 44.54°, I = 37
2θ = 50.66°, I = 25
2θ = 57.25°, I = 34
2θ = 66.58°, I = 21